No. 1
LiTiP2O7: calculated XRD peak list (λ = 1.5418 Å (Cu Kα)), based on a GGA-PBE-relaxed structure.
Neutral-atom scattering factors, no anomalous dispersion.

Main lines, by angle (10° ≤ 2θ ≤ 90°):
two_theta, I (rel.), index
18.09, 100, 1 0 0
22.67, 39, 0 2 1
25.47, 21, 0 2 2
26.15, 18, 1 0 2
28.37, 27, 1 1 -4
33.48, 26, 0 3 1

Atomic structure:
Lattice parameters (Å, degrees): 5.270 8.202 14.393 90.00 111.43 90.00
Space group P2_1/c (No. 14)
Inequivalent atoms, fractional coordinates:
Li 0.057 0.236 0.256 [4 per cell]
Ti 0.326 0.651 0.124 [4 per cell]
P 0.328 0.204 0.522 [4 per cell]
P 0.457 0.042 0.178 [4 per cell]
O 0.075 0.205 0.424 [4 per cell]
O 0.263 0.064 0.233 [4 per cell]
O 0.279 0.636 0.262 [4 per cell]
O 0.292 0.086 0.600 [4 per cell]
O 0.330 0.114 0.066 [4 per cell]
O 0.405 0.681 0.994 [4 per cell]
O 0.478 0.137 0.837 [4 per cell]

No. 2
LiTiP2O7: calculated XRD peak list (λ = 1.5418 Å (Cu Kα)), based on a GGA-PBE-relaxed structure.
Neutral-atom scattering factors, no anomalous dispersion.

Main lines, by angle (10° ≤ 2θ ≤ 90°):
two_theta, I (rel.), index
17.25, 100, 1 1 -1
21.87, 29, 1 1 1
22.53, 41, 0 1 2
28.41, 63, 2 1 0
28.88, 37, 2 1 -2
29.76, 94, 0 2 2

Atomic structure:
Lattice parameters (Å, degrees): 7.294 8.011 9.684 90.00 110.56 90.00
Space group P2_1/c (No. 14)
Inequivalent atoms, fractional coordinates:
Li 0.203 0.022 0.215 [4 per cell]
Ti 0.239 0.006 0.752 [4 per cell]
P 0.170 0.712 0.952 [4 per cell]
P 0.418 0.241 0.044 [4 per cell]
O 0.044 0.579 0.846 [4 per cell]
O 0.115 0.609 0.394 [4 per cell]
O 0.189 0.700 0.114 [4 per cell]
O 0.308 0.133 0.601 [4 per cell]
O 0.313 0.214 0.878 [4 per cell]
O 0.377 0.665 0.935 [4 per cell]
O 0.468 0.080 0.137 [4 per cell]

No. 3
Li3TiP2O8: calculated XRD peak list (λ = 1.5418 Å (Cu Kα)), based on a GGA-PBE-relaxed structure.
Neutral-atom scattering factors, no anomalous dispersion.

Main lines, by angle (10° ≤ 2θ ≤ 90°):
two_theta, I (rel.), index
13.59, 67, 0 0 2
24.25, 100, 1 1 -2
25.15, 52, 2 0 2
33.54, 28, 1 1 -4
34.57, 57, 3 1 0
39.34, 32, 1 1 -5

Atomic structure:
Lattice parameters (Å, degrees): 9.376 4.771 13.174 90.00 98.42 90.00
Space group C2/c (No. 15)
Inequivalent atoms, fractional coordinates:
Li 0.000 0.054 0.250 [4 per cell]
Li 0.170 0.469 0.648 [8 per cell]
Ti 0.000 0.000 0.000 [4 per cell]
P 0.159 0.476 0.885 [8 per cell]
O 0.051 0.222 0.868 [8 per cell]
O 0.113 0.342 0.473 [8 per cell]
O 0.157 0.343 0.288 [8 per cell]
O 0.185 0.146 0.084 [8 per cell]

No. 4
LiTiP2O7: calculated XRD peak list (λ = 1.5418 Å (Cu Kα)), based on a GGA-PBE-relaxed structure.
Neutral-atom scattering factors, no anomalous dispersion.

Main lines, by angle (10° ≤ 2θ ≤ 90°):
two_theta, I (rel.), index
17.06, 100, 0 1 1
22.12, 57, 1 1 -1
26.56, 25, 1 0 1
28.72, 36, 1 1 1
29.02, 60, 1 2 -1
29.45, 28, 1 1 -2

Atomic structure:
Lattice parameters (Å, degrees): 4.949 8.288 7.048 90.00 108.86 90.00
Space group P2_1 (No. 4)
Inequivalent atoms, fractional coordinates:
Li 0.193 0.000 0.179 [2 per cell]
Ti 0.209 0.364 0.228 [2 per cell]
P 0.216 0.074 0.582 [2 per cell]
P 0.404 0.682 0.025 [2 per cell]
O 0.043 0.530 0.356 [2 per cell]
O 0.132 0.163 0.381 [2 per cell]
O 0.199 0.826 0.990 [2 per cell]
O 0.248 0.520 0.008 [2 per cell]
O 0.398 0.186 0.103 [2 per cell]
O 0.399 0.206 0.743 [2 per cell]
O 0.399 0.926 0.578 [2 per cell]